[1]
# CeMg6Cu
Calculated X-ray powder pattern, Cu Ka. Input: the GGA-PBE geometry in the Materials Project.
Lines closer than 0.1° are merged.

Principal peaks in the range 2θ from 10° to 90°, sorted by position:
- 14.0 deg, 6.328 Å, rel. 70, (0 0 2)
- 17.8 deg, 4.979 Å, rel. 47, (1 0 0)
- 22.7 deg, 3.913 Å, rel. 41, (1 0 2)
- 31.5 deg, 2.838 Å, rel. 48, (1 1 3)
- 33.0 deg, 2.718 Å, rel. 46, (0 2 2)
- 33.6 deg, 2.670 Å, rel. 64, (1 0 4)
- 36.1 deg, 2.490 Å, rel. 44, (2 0 0)
- 37.7 deg, 2.386 Å, rel. 100, (1 2 2)
- 49.7 deg, 1.836 Å, rel. 29, (2 2 2)
- 53.8 deg, 1.703 Å, rel. 29, (2 1 5)

Structural model:
a = 4.9793 Å, b = 6.0189 Å, c = 12.6555 Å
α = 90.00°, β = 90.00°, γ = 90.00°
Space group Amm2 (No. 38)
Unique sites:
Ce  0.0000  0.0000  0.0000
Mg  0.0000  0.2500  0.2446
Mg  0.5000  0.0000  0.1558
Mg  0.5000  0.0000  0.6028
Mg  0.5000  0.2461  0.3849
Cu  0.0000  0.0000  0.4331

=====

[2]
# Nb2GaNi3
Calculated X-ray powder pattern, Cu Ka. Input: the GGA-PBE geometry in the Materials Project.
Lines closer than 0.1° are merged.

Principal peaks in the range 2θ from 10° to 90°, sorted by position:
- 36.5 deg, 2.461 Å, rel. 43, (1 1 0)
- 40.7 deg, 2.215 Å, rel. 69, (1 0 3)
- 42.4 deg, 2.131 Å, rel. 10, (2 0 0)
- 43.5 deg, 2.079 Å, rel. 100, (1 1 2)
- 44.1 deg, 2.055 Å, rel. 65, (2 0 1)
- 46.7 deg, 1.944 Å, rel. 14, (0 0 4)
- 68.6 deg, 1.368 Å, rel. 25, (2 1 3)
- 70.6 deg, 1.334 Å, rel. 23, (3 0 2)
- 75.7 deg, 1.256 Å, rel. 25, (2 0 5)
- 77.6 deg, 1.230 Å, rel. 23, (2 2 0)

Structural model:
a = 4.9216 Å, b = 4.9216 Å, c = 7.7777 Å
α = 90.00°, β = 90.00°, γ = 120.00°
Space group P6_3/mmc (No. 194)
Unique sites:
Nb  0.3333  0.6667  0.0597
Ga  0.0000  0.0000  0.0000
Ni  0.1719  0.3438  0.7500

=====

[3]
# Ce3Zr5O16
Calculated X-ray powder pattern, Cu Ka. Input: the GGA-PBE geometry in the Materials Project.
Lines closer than 0.1° are merged.

Principal peaks in the range 2θ from 10° to 90°, sorted by position:
- 29.1 deg, 3.071 Å, rel. 100, (2 2 1)
- 33.4 deg, 2.680 Å, rel. 9, (0 0 2)
- 33.7 deg, 2.662 Å, rel. 9, (0 4 0)
- 34.0 deg, 2.638 Å, rel. 8, (4 0 0)
- 48.2 deg, 1.888 Å, rel. 18, (0 4 2)
- 48.4 deg, 1.880 Å, rel. 18, (4 0 2)
- 48.6 deg, 1.874 Å, rel. 18, (4 4 0)
- 57.1 deg, 1.613 Å, rel. 14, (2 2 3)
- 57.4 deg, 1.605 Å, rel. 14, (2 6 1)
- 57.8 deg, 1.594 Å, rel. 14, (6 2 1)

Structural model:
a = 10.5514 Å, b = 10.6478 Å, c = 5.3591 Å
α = 90.00°, β = 90.00°, γ = 90.00°
Space group C222 (No. 21)
Unique sites:
Ce  0.0000  0.0000  0.0000
Ce  0.0000  0.2569  0.5000
Zr  0.0000  0.5000  0.0000
Zr  0.2472  0.0000  0.5000
Zr  0.2500  0.2500  0.9999
O  0.1205  0.3608  0.1920
O  0.1229  0.3985  0.7098
O  0.1296  0.1406  0.7765
O  0.1318  0.1124  0.2780

=====

[4]
# Ti2N2O
Calculated X-ray powder pattern, Cu Ka. Input: the GGA-PBE geometry in the Materials Project.
Lines closer than 0.1° are merged.

Principal peaks in the range 2θ from 10° to 90°, sorted by position:
- 22.9 deg, 3.876 Å, rel. 29, (1 1 0)
- 32.6 deg, 2.743 Å, rel. 100, (1 -3 1)
- 32.8 deg, 2.734 Å, rel. 32, (-3 1 1)
- 37.9 deg, 2.373 Å, rel. 18, (2 2 -2)
- 44.7 deg, 2.026 Å, rel. 11, (1 2 -4)
- 49.0 deg, 1.861 Å, rel. 9, (3 0 1)
- 54.6 deg, 1.681 Å, rel. 17, (0 4 0)
- 54.7 deg, 1.677 Å, rel. 34, (0 4 -4)
- 65.1 deg, 1.433 Å, rel. 7, (1 -3 5)
- 65.2 deg, 1.431 Å, rel. 10, (1 5 -3)

Structural model:
a = 8.2032 Å, b = 8.2224 Å, c = 8.2264 Å
α = 109.44°, β = 109.42°, γ = 109.41°
Space group P1 (No. 1)
Unique sites:
Ti  0.0000  0.0000  0.0000
Ti  0.0007  0.4988  0.4949
Ti  0.0482  0.7097  0.2374
Ti  0.2139  0.1679  0.4390
Ti  0.2460  0.4657  0.2036
Ti  0.2633  0.9600  0.6938
Ti  0.2931  0.7542  0.9459
Ti  0.4663  0.2115  0.1611
Ti  0.4947  0.9132  0.3947
Ti  0.5175  0.4225  0.9044
Ti  0.5387  0.7113  0.7365
Ti  0.7008  0.6714  0.4427
Ti  0.7496  0.4580  0.6913
Ti  0.7617  0.9718  0.2075
Ti  0.7942  0.2558  0.9566
Ti  0.9635  0.2118  0.6507
N  0.0167  0.4485  0.2358
N  0.0273  0.4996  0.7480
N  0.2413  0.6849  0.1466
N  0.2611  0.2328  0.2407
N  0.2952  0.7318  0.6916
N  0.3049  0.9715  0.4760
N  0.4762  0.6879  0.4689
N  0.4789  0.4221  0.6502
N  0.5226  0.1850  0.9293
N  0.5238  0.0078  0.2022
N  0.7106  0.4142  0.4231
N  0.7438  0.9980  0.9598
N  0.7639  0.9207  0.4342
N  0.7905  0.5099  0.9716
N  0.9768  0.9079  0.1837
N  0.9865  0.2351  0.4214
O  0.0259  0.2301  0.9195
O  0.1961  0.9468  0.9181
O  0.2051  0.1911  0.7044
O  0.4926  0.4766  0.1566
O  0.5118  0.6809  0.9698
O  0.7052  0.1883  0.6555
O  0.8056  0.7366  0.7374
O  0.9787  0.7353  0.4649

=====

[5]
# GaHO2
Calculated X-ray powder pattern, Cu Ka. Input: the GGA-PBE geometry in the Materials Project.
Lines closer than 0.1° are merged.

Principal peaks in the range 2θ from 10° to 90°, sorted by position:
- 19.2 deg, 4.615 Å, rel. 32, (0 1 -1)
- 29.6 deg, 3.015 Å, rel. 74, (-1 1 1)
- 30.9 deg, 2.892 Å, rel. 100, (1 1 -2)
- 34.3 deg, 2.617 Å, rel. 22, (2 0 -1)
- 38.6 deg, 2.335 Å, rel. 19, (1 -2 0)
- 40.6 deg, 2.222 Å, rel. 19, (1 2 -1)
- 46.9 deg, 1.935 Å, rel. 44, (2 -1 1)
- 51.1 deg, 1.787 Å, rel. 47, (2 0 -3)
- 60.0 deg, 1.541 Å, rel. 19, (3 1 -3)
- 62.8 deg, 1.480 Å, rel. 20, (-3 2 1)

Structural model:
a = 5.2456 Å, b = 5.2456 Å, c = 6.0659 Å
α = 113.84°, β = 113.84°, γ = 93.75°
Space group P1 (No. 1)
Unique sites:
Ga  0.0000  0.0000  0.0000
Ga  0.1418  0.8658  0.4976
Ga  0.3859  0.6004  0.9918
Ga  0.7516  0.2502  0.5035
H  0.3844  0.4229  0.2809
H  0.5304  0.7064  0.7007
H  0.5621  0.2389  0.7753
H  0.8527  0.3915  0.2008
O  0.0588  0.6724  0.7216
O  0.0630  0.4337  0.2467
O  0.0816  0.1901  0.7595
O  0.3341  0.9297  0.2596
O  0.5569  0.4204  0.2346
O  0.5675  0.4181  0.7379
O  0.5731  0.9088  0.7385
O  0.8154  0.9124  0.2209

=====

[6]
# NaCu3
Calculated X-ray powder pattern, Cu Ka. Input: the GGA-PBE geometry in the Materials Project.
Lines closer than 0.1° are merged.

Principal peaks in the range 2θ from 10° to 90°, sorted by position:
- 22.8 deg, 3.906 Å, rel. 4, (0 0 2)
- 26.1 deg, 3.417 Å, rel. 12, (1 0 1)
- 40.8 deg, 2.214 Å, rel. 100, (1 1 2)
- 46.5 deg, 1.953 Å, rel. 17, (0 0 4)
- 47.9 deg, 1.900 Å, rel. 31, (2 0 0)
- 69.0 deg, 1.362 Å, rel. 19, (2 0 4)
- 70.0 deg, 1.344 Å, rel. 9, (2 2 0)
- 82.3 deg, 1.172 Å, rel. 11, (1 1 6)
- 84.3 deg, 1.149 Å, rel. 20, (3 1 2)
- 88.3 deg, 1.107 Å, rel. 9, (2 2 4)

Structural model:
a = 3.8001 Å, b = 3.8001 Å, c = 7.8115 Å
α = 90.00°, β = 90.00°, γ = 90.00°
Space group I4/mmm (No. 139)
Unique sites:
Na  0.0000  0.0000  0.0000
Cu  0.0000  0.0000  0.5000
Cu  0.0000  0.5000  0.2500

=====

[7]
# LiNpRh2
Calculated X-ray powder pattern, Cu Ka. Input: the GGA-PBE geometry in the Materials Project.
Lines closer than 0.1° are merged.

Principal peaks in the range 2θ from 10° to 90°, sorted by position:
- 24.0 deg, 3.707 Å, rel. 62, (1 1 1)
- 39.7 deg, 2.270 Å, rel. 100, (2 2 0)
- 46.9 deg, 1.936 Å, rel. 32, (3 1 1)
- 57.4 deg, 1.605 Å, rel. 17, (4 0 0)
- 63.1 deg, 1.473 Å, rel. 14, (3 3 1)
- 72.1 deg, 1.311 Å, rel. 35, (4 2 2)
- 77.2 deg, 1.236 Å, rel. 10, (5 1 1)
- 85.6 deg, 1.135 Å, rel. 11, (4 4 0)

Structural model:
a = 6.4210 Å, b = 6.4210 Å, c = 6.4210 Å
α = 90.00°, β = 90.00°, γ = 90.00°
Space group Fm-3m (No. 225)
Unique sites:
Li  0.0000  0.0000  0.0000
Np  0.0000  0.0000  0.5000
Rh  0.2500  0.2500  0.2500

=====

[8]
# Y2TlAg
Calculated X-ray powder pattern, Cu Ka. Input: the GGA-PBE geometry in the Materials Project.
Lines closer than 0.1° are merged.

Principal peaks in the range 2θ from 10° to 90°, sorted by position:
- 20.6 deg, 4.313 Å, rel. 7, (1 1 1)
- 23.8 deg, 3.735 Å, rel. 8, (2 0 0)
- 33.9 deg, 2.641 Å, rel. 100, (2 2 0)
- 40.0 deg, 2.252 Å, rel. 4, (3 1 1)
- 41.9 deg, 2.156 Å, rel. 3, (2 2 2)
- 48.8 deg, 1.868 Å, rel. 18, (4 0 0)
- 55.0 deg, 1.670 Å, rel. 4, (4 2 0)
- 60.7 deg, 1.525 Å, rel. 36, (4 2 2)
- 71.4 deg, 1.321 Å, rel. 11, (4 4 0)
- 81.5 deg, 1.181 Å, rel. 16, (6 2 0)

Structural model:
a = 7.4701 Å, b = 7.4701 Å, c = 7.4701 Å
α = 90.00°, β = 90.00°, γ = 90.00°
Space group Fm-3m (No. 225)
Unique sites:
Y  0.2500  0.2500  0.2500
Tl  0.0000  0.0000  0.0000
Ag  0.0000  0.0000  0.5000

=====

[9]
# Ni3Hg
Calculated X-ray powder pattern, Cu Ka. Input: the GGA-PBE geometry in the Materials Project.
Lines closer than 0.1° are merged.

Principal peaks in the range 2θ from 10° to 90°, sorted by position:
- 28.5 deg, 3.136 Å, rel. 46, (1 0 1)
- 33.6 deg, 2.668 Å, rel. 18, (1 1 0)
- 39.0 deg, 2.311 Å, rel. 24, (2 0 0)
- 42.3 deg, 2.135 Å, rel. 26, (0 0 2)
- 44.6 deg, 2.032 Å, rel. 100, (2 0 1)
- 58.9 deg, 1.568 Å, rel. 14, (2 0 2)
- 70.6 deg, 1.334 Å, rel. 16, (2 2 0)
- 79.0 deg, 1.212 Å, rel. 18, (2 0 3)
- 85.9 deg, 1.131 Å, rel. 19, (2 2 2)
- 87.5 deg, 1.115 Å, rel. 13, (4 0 1)

Structural model:
a = 5.3363 Å, b = 5.3363 Å, c = 4.2702 Å
α = 90.00°, β = 90.00°, γ = 120.00°
Space group P6_3/mmc (No. 194)
Unique sites:
Ni  0.1556  0.3111  0.2500
Hg  0.3333  0.6667  0.7500

=====

[10]
# HfMg6AlO8
Calculated X-ray powder pattern, Cu Ka. Input: the GGA-PBE geometry in the Materials Project.
Lines closer than 0.1° are merged.

Principal peaks in the range 2θ from 10° to 90°, sorted by position:
- 17.1 deg, 5.174 Å, rel. 69, (0 0 2)
- 21.3 deg, 4.179 Å, rel. 62, (1 0 0)
- 22.9 deg, 3.875 Å, rel. 87, (1 0 1)
- 25.8 deg, 3.450 Å, rel. 56, (0 0 3)
- 27.4 deg, 3.251 Å, rel. 78, (1 0 2)
- 33.7 deg, 2.660 Å, rel. 47, (1 0 3)
- 34.7 deg, 2.587 Å, rel. 69, (0 0 4)
- 35.0 deg, 2.566 Å, rel. 85, (1 1 2)
- 43.3 deg, 2.090 Å, rel. 100, (2 0 0)
- 56.6 deg, 1.626 Å, rel. 62, (2 0 4)

Structural model:
a = 4.1794 Å, b = 4.1794 Å, c = 10.3487 Å
α = 90.00°, β = 90.00°, γ = 90.00°
Space group P4/mmm (No. 123)
Unique sites:
Hf  0.0000  0.0000  0.0000
Mg  0.0000  0.5000  0.2785
Mg  0.5000  0.5000  0.0000
Mg  0.5000  0.5000  0.5000
Al  0.0000  0.0000  0.5000
O  0.0000  0.0000  0.3231
O  0.0000  0.5000  0.0000
O  0.0000  0.5000  0.5000
O  0.5000  0.5000  0.2795